# 1
# Rb4Nb11O30
Computed powder X-ray diffraction pattern, copper Kα. Input: a GGA-PBE-relaxed structure.

Atomic structure:
Lattice parameters (Å, degrees): 7.6141 7.6141 44.1961 90.00 90.00 120.00
Space group R-3m (No. 166, hexagonal axes)
Symmetry-distinct sites (fractional):
Rb 0.0000 0.0000 0.0470 [6 per cell]
Rb 0.0000 0.0000 0.2297 [6 per cell]
Nb 0.0000 0.0000 0.3998 [6 per cell]
Nb 0.0000 0.5000 0.0000 [9 per cell]
Nb 0.0002 0.5001 0.1959 [18 per cell]
O 0.0489 0.5244 0.1473 [18 per cell]
O 0.0849 0.5424 0.0440 [18 per cell]
O 0.0855 0.5427 0.3412 [18 per cell]
O 0.0859 0.5430 0.2360 [18 per cell]
O 0.1010 0.5505 0.5310 [18 per cell]

Largest 10 diffraction maxima, by angle, 10 to 90 degrees two-theta:
2θ/deg  intensity
12.02  27
13.58  23
25.97  54
26.35  52
27.12  26
28.90  100
42.96  28
47.78  45
49.67  19
66.19  19

# 2
# BaLi2La2Bi2
Computed powder X-ray diffraction pattern, copper Kα. Input: a GGA-PBE-relaxed structure.

Atomic structure:
Lattice parameters (Å, degrees): 5.0260 5.0260 30.6612 90.00 90.00 120.00
Space group R-3m (No. 166, hexagonal axes)
Symmetry-distinct sites (fractional):
Ba 0.0000 0.0000 0.0000 [3 per cell]
Li 0.0000 0.0000 0.4213 [6 per cell]
La 0.0000 0.0000 0.1363 [6 per cell]
Bi 0.0000 0.0000 0.2561 [6 per cell]

Largest 10 diffraction maxima, by angle, 10 to 90 degrees two-theta:
2θ/deg  intensity
20.61  38
21.22  41
23.50  24
28.92  53
31.09  93
35.75  100
48.08  28
58.18  21
61.32  28
64.21  23

# 3
# HgGeCl4
Computed powder X-ray diffraction pattern, copper Kα. Input: a GGA-PBE-relaxed structure.

Atomic structure:
Lattice parameters (Å, degrees): 8.0602 18.7524 6.3773 90.00 128.16 90.00
Space group C2/c (No. 15)
Symmetry-distinct sites (fractional):
Hg 0.0000 0.0914 0.2500 [4 per cell]
Ge 0.0000 0.4021 0.7500 [4 per cell]
Cl 0.2104 0.3195 0.7408 [8 per cell]
Cl 0.2345 0.0611 0.7225 [8 per cell]

Largest 10 diffraction maxima, by angle, 10 to 90 degrees two-theta:
2θ/deg  intensity
14.75  24
18.93  28
20.09  100
24.04  50
28.56  15
29.22  55
35.81  24
40.88  22
44.72  15
47.20  14